Structure and computed X-ray diffraction stick pattern of Cu3P4S3Br3 (a structure optimized by DFT (GGA-PBE); Cu Kα (λ = 1.5418 Å)).

Largest 8 diffraction maxima, low angle first, 2θ = 10–80°:
d/Å  Rel. int.
6.845  59
4.397  90
3.278  100
3.146  92
3.044  70
2.966  61
1.929  91
1.834  62

a b c (Å): 18.887 9.937 6.658
angles (deg): 90.00 90.00 90.00
Fractional positions:
1 Cu 0.133 0.250 0.000
2 Cu 0.183 0.019 0.491
3 Cu 0.183 0.481 0.491
4 Cu 0.317 0.519 0.991
5 Cu 0.317 0.981 0.991
6 Cu 0.367 0.750 0.500
7 Cu 0.633 0.250 0.500
8 Cu 0.683 0.019 0.009
9 Cu 0.683 0.481 0.009
10 Cu 0.817 0.519 0.509
11 Cu 0.817 0.981 0.509
12 Cu 0.867 0.750 0.000
13 P 0.022 0.250 0.903
14 P 0.114 0.634 0.349
15 P 0.114 0.866 0.349
16 P 0.152 0.750 0.078
17 P 0.348 0.250 0.578
18 P 0.386 0.134 0.849
19 P 0.386 0.366 0.849
20 P 0.478 0.750 0.403
21 P 0.522 0.250 0.597
22 P 0.614 0.634 0.151
23 P 0.614 0.866 0.151
24 P 0.652 0.750 0.422
25 P 0.848 0.250 0.922
26 P 0.886 0.134 0.651
27 P 0.886 0.366 0.651
28 P 0.978 0.750 0.097
29 S 0.008 0.586 0.282
30 S 0.008 0.914 0.282
31 S 0.063 0.750 0.888
32 S 0.437 0.250 0.388
33 S 0.492 0.086 0.782
34 S 0.492 0.414 0.782
35 S 0.508 0.586 0.218
36 S 0.508 0.914 0.218
37 S 0.563 0.750 0.612
38 S 0.937 0.250 0.112
39 S 0.992 0.086 0.718
40 S 0.992 0.414 0.718
41 Br 0.150 0.250 0.367
42 Br 0.196 0.047 0.860
43 Br 0.196 0.453 0.860
44 Br 0.304 0.547 0.360
45 Br 0.304 0.953 0.360
46 Br 0.350 0.750 0.867
47 Br 0.650 0.250 0.133
48 Br 0.696 0.047 0.640
49 Br 0.696 0.453 0.640
50 Br 0.804 0.547 0.140
51 Br 0.804 0.953 0.140
52 Br 0.850 0.750 0.633


Structure and computed X-ray diffraction stick pattern of Cu6PS5Br (a structure optimized by DFT (GGA-PBE); Cu Kα (λ = 1.5418 Å)).

Largest 8 diffraction maxima, low angle first, 2θ = 10–80°:
d/Å  Rel. int.
3.271  55
2.934  15
2.815  53
2.794  100
2.527  18
2.424  36
1.863  38
1.719  40

a b c (Å): 6.831 6.831 11.925
angles (deg): 106.54 106.54 60.14
Fractional positions:
1 Cu 0.017 0.983 0.500
2 Cu 0.056 0.520 0.505
3 Cu 0.144 0.294 0.277
4 Cu 0.294 0.144 0.777
5 Cu 0.367 0.668 0.276
6 Cu 0.482 0.550 0.496
7 Cu 0.520 0.056 0.005
8 Cu 0.550 0.482 0.996
9 Cu 0.668 0.367 0.776
10 Cu 0.790 0.886 0.275
11 Cu 0.886 0.790 0.775
12 Cu 0.983 0.017 0.000
13 P 0.022 0.521 0.013
14 P 0.521 0.022 0.513
15 S 0.137 0.643 0.374
16 S 0.191 0.216 0.078
17 S 0.216 0.191 0.578
18 S 0.224 0.690 0.076
19 S 0.458 0.964 0.328
20 S 0.643 0.137 0.874
21 S 0.690 0.224 0.576
22 S 0.715 0.721 0.076
23 S 0.721 0.715 0.576
24 S 0.964 0.458 0.828
25 Br 0.273 0.767 0.761
26 Br 0.767 0.273 0.261


Structure and computed X-ray diffraction stick pattern of Rb2CuBr3 (a structure optimized by DFT (GGA-PBE); Cu Kα (λ = 1.5418 Å)).

Largest 8 diffraction maxima, low angle first, 2θ = 10–80°:
d/Å  Rel. int.
3.608  67
3.267  93
3.205  74
3.116  100
3.068  67
3.002  91
2.231  74
1.790  54

a b c (Å): 13.331 4.461 13.822
angles (deg): 90.00 90.00 90.00
Fractional positions:
1 Rb 0.013 0.250 0.176
2 Rb 0.174 0.250 0.524
3 Rb 0.326 0.750 0.024
4 Rb 0.487 0.750 0.676
5 Rb 0.513 0.250 0.324
6 Rb 0.674 0.250 0.976
7 Rb 0.826 0.750 0.476
8 Rb 0.987 0.750 0.824
9 Cu 0.245 0.750 0.311
10 Cu 0.255 0.250 0.811
11 Cu 0.745 0.750 0.189
12 Cu 0.755 0.250 0.689
13 Br 0.066 0.750 0.361
14 Br 0.138 0.250 0.948
15 Br 0.227 0.750 0.720
16 Br 0.273 0.250 0.220
17 Br 0.362 0.750 0.448
18 Br 0.434 0.250 0.861
19 Br 0.566 0.750 0.139
20 Br 0.638 0.250 0.552
21 Br 0.727 0.750 0.780
22 Br 0.773 0.250 0.280
23 Br 0.862 0.750 0.052
24 Br 0.934 0.250 0.639


Repeat the third record exactly.
Structure and computed X-ray diffraction stick pattern of Rb2CuBr3 (a structure optimized by DFT (GGA-PBE); Cu Kα (λ = 1.5418 Å)).

Largest 8 diffraction maxima, low angle first, 2θ = 10–80°:
d/Å  Rel. int.
3.608  67
3.267  93
3.205  74
3.116  100
3.068  67
3.002  91
2.231  74
1.790  54

a b c (Å): 13.331 4.461 13.822
angles (deg): 90.00 90.00 90.00
Fractional positions:
1 Rb 0.013 0.250 0.176
2 Rb 0.174 0.250 0.524
3 Rb 0.326 0.750 0.024
4 Rb 0.487 0.750 0.676
5 Rb 0.513 0.250 0.324
6 Rb 0.674 0.250 0.976
7 Rb 0.826 0.750 0.476
8 Rb 0.987 0.750 0.824
9 Cu 0.245 0.750 0.311
10 Cu 0.255 0.250 0.811
11 Cu 0.745 0.750 0.189
12 Cu 0.755 0.250 0.689
13 Br 0.066 0.750 0.361
14 Br 0.138 0.250 0.948
15 Br 0.227 0.750 0.720
16 Br 0.273 0.250 0.220
17 Br 0.362 0.750 0.448
18 Br 0.434 0.250 0.861
19 Br 0.566 0.750 0.139
20 Br 0.638 0.250 0.552
21 Br 0.727 0.750 0.780
22 Br 0.773 0.250 0.280
23 Br 0.862 0.750 0.052
24 Br 0.934 0.250 0.639